Starting from DFT lattice parameters and positions (PBE+U), the powder XRD pattern of CrPbIO6 was calculated for Cu Kα (λ = 1.5418 Å).

Cell and atoms:
a b c (Å): 5.248 5.248 5.445
angles (deg): 90.00 90.00 120.00
Atoms (fractional coordinates):
1 Cr 0.000 0.000 0.000
2 Pb 0.667 0.333 0.500
3 I 0.333 0.667 0.000
4 O 0.051 0.348 0.199
5 O 0.051 0.703 0.801
6 O 0.297 0.348 0.801
7 O 0.297 0.949 0.199
8 O 0.652 0.703 0.199
9 O 0.652 0.949 0.801

Most intense lines, 2θ from 5° to 70°, by angle:
d/Å  I/Imax  (hkl)
4.545  14  1 0 0
3.489  100  1 0 1
2.624  29  1 1 0
2.097  23  2 0 1
1.889  34  2 -1 2
1.686  11  1 0 3
1.638  22  3 -1 1
1.515  9  3 0 0